Simulated powder XRD pattern
Compound: Hg2Te2O7
Radiation: Cu Kα
Structure: the PBE geometry in OQMD
Peak positions follow from Bragg's law for the DFT cell and can differ from measured ones.

Peak list (10 most intense, 15° ≤ 2θ ≤ 90°, sorted by position)
Position (°2θ)  d [Å]  I (rel.)
28.92  3.087  54
29.09  3.070  100
29.72  3.006  47
32.86  2.726  35
34.34  2.612  59
47.73  1.905  29
48.79  1.867  24
49.65  1.836  15
56.37  1.632  15
58.12  1.587  16

Atomic structure:
```
Hg2Te2O7
1.0
6.487 -3.715 0.000
6.487 3.715 0.000
-5.008 0.000 12.349
Hg Te O
8 8 28
Direct
0.000 0.500 0.000 Hg
0.000 0.500 0.500 Hg
0.199 0.801 0.750 Hg
0.267 0.733 0.250 Hg
0.500 0.000 0.000 Hg
0.500 0.000 0.500 Hg
0.733 0.267 0.750 Hg
0.801 0.199 0.250 Hg
0.000 0.000 0.000 Te
0.000 0.000 0.500 Te
0.269 0.276 0.750 Te
0.276 0.269 0.250 Te
0.500 0.500 0.000 Te
0.500 0.500 0.500 Te
0.724 0.731 0.750 Te
0.731 0.724 0.250 Te
0.058 0.098 0.402 O
0.064 0.214 0.112 O
0.098 0.058 0.902 O
0.109 0.504 0.673 O
0.119 0.539 0.201 O
0.213 0.712 0.450 O
0.214 0.064 0.612 O
0.288 0.787 0.050 O
0.330 0.369 0.993 O
0.369 0.330 0.493 O
0.389 0.504 0.846 O
0.461 0.881 0.299 O
0.496 0.611 0.654 O
0.496 0.891 0.827 O
0.504 0.109 0.173 O
0.504 0.389 0.346 O
0.539 0.119 0.701 O
0.611 0.496 0.154 O
0.631 0.670 0.507 O
0.670 0.631 0.007 O
0.712 0.213 0.950 O
0.786 0.936 0.388 O
0.787 0.288 0.550 O
0.881 0.461 0.799 O
0.891 0.496 0.327 O
0.902 0.942 0.098 O
0.936 0.786 0.888 O
0.942 0.902 0.598 O
```

Simulated powder XRD pattern
Compound: Hg2TeO
Radiation: Cu Kα
Structure: the PBE geometry in OQMD
Peak positions follow from Bragg's law for the DFT cell and can differ from measured ones.

Peak list (10 most intense, 15° ≤ 2θ ≤ 90°, sorted by position)
Position (°2θ)  d [Å]  I (rel.)
26.63  3.347  20
27.22  3.276  42
27.99  3.188  33
28.73  3.108  100
29.90  2.989  20
35.82  2.507  23
36.93  2.434  15
39.99  2.255  49
44.88  2.020  21
51.24  1.783  16

Atomic structure:
```
Hg2TeO
1.0
2.020 -7.297 0.000
2.020 7.297 0.000
0.000 0.000 6.552
Hg Te O
4 2 2
Direct
0.043 0.957 0.500 Hg
0.328 0.672 0.590 Hg
0.672 0.328 0.090 Hg
0.957 0.043 0.000 Hg
0.326 0.674 0.149 Te
0.674 0.326 0.649 Te
0.087 0.913 0.169 O
0.913 0.087 0.669 O
```

Simulated powder XRD pattern
Compound: ZnHgTeO
Radiation: Cu Kα
Structure: the PBE geometry in OQMD
Peak positions follow from Bragg's law for the DFT cell and can differ from measured ones.

Peak list (10 most intense, 15° ≤ 2θ ≤ 90°, sorted by position)
Position (°2θ)  d [Å]  I (rel.)
28.06  3.180  100
29.49  3.029  73
30.73  2.909  72
30.98  2.887  22
32.17  2.783  22
35.10  2.557  21
41.16  2.193  57
42.10  2.146  55
43.12  2.098  49
52.24  1.751  55

Atomic structure:
```
ZnHgTeO
1.0
6.057 0.000 0.000
0.000 9.539 0.000
0.000 0.000 5.818
Zn Hg Te O
4 4 4 4
Direct
0.113 0.051 0.000 Zn
0.387 0.051 0.500 Zn
0.613 0.949 0.000 Zn
0.887 0.949 0.500 Zn
0.008 0.331 0.615 Hg
0.492 0.331 0.115 Hg
0.508 0.669 0.615 Hg
0.992 0.669 0.115 Hg
0.014 0.671 0.616 Te
0.486 0.671 0.116 Te
0.514 0.329 0.616 Te
0.986 0.329 0.116 Te
0.103 0.063 0.663 O
0.397 0.063 0.163 O
0.603 0.937 0.663 O
0.897 0.937 0.163 O
```

Simulated powder XRD pattern
Compound: ZnHgTeO
Radiation: Cu Kα
Structure: the PBE geometry in OQMD
Peak positions follow from Bragg's law for the DFT cell and can differ from measured ones.

Peak list (10 most intense, 15° ≤ 2θ ≤ 90°, sorted by position)
Position (°2θ)  d [Å]  I (rel.)
21.46  4.141  71
27.12  3.288  73
28.87  3.092  90
31.33  2.855  86
32.37  2.766  90
32.62  2.745  100
35.08  2.558  59
38.29  2.351  61
46.62  1.948  52
49.74  1.833  50

Atomic structure:
```
ZnHgTeO
1.0
6.723 0.000 0.000
0.000 3.252 0.000
0.000 0.000 15.770
Zn Hg Te O
4 4 4 4
Direct
0.104 0.250 0.117 Zn
0.396 0.750 0.617 Zn
0.604 0.250 0.383 Zn
0.896 0.750 0.883 Zn
0.053 0.750 0.310 Hg
0.447 0.250 0.810 Hg
0.553 0.750 0.190 Hg
0.947 0.250 0.690 Hg
0.248 0.250 0.453 Te
0.252 0.750 0.953 Te
0.748 0.250 0.047 Te
0.752 0.750 0.547 Te
0.196 0.750 0.173 O
0.304 0.250 0.673 O
0.696 0.750 0.327 O
0.804 0.250 0.827 O
```

Simulated powder XRD pattern
Compound: ZnHgTeO
Radiation: Cu Kα
Structure: the PBE geometry in OQMD
Peak positions follow from Bragg's law for the DFT cell and can differ from measured ones.

Peak list (10 most intense, 15° ≤ 2θ ≤ 90°, sorted by position)
Position (°2θ)  d [Å]  I (rel.)
31.30  2.858  13
31.78  2.815  13
32.68  2.740  44
33.19  2.699  100
35.43  2.534  37
38.36  2.346  54
55.04  1.668  29
55.71  1.650  30
66.11  1.413  34
66.41  1.408  14

Atomic structure:
```
ZnHgTeO
1.0
3.300 0.000 0.000
-1.650 2.858 0.000
0.000 0.000 16.441
Zn Hg Te O
2 2 2 2
Direct
0.333 0.667 0.000 Zn
0.667 0.333 0.500 Zn
0.000 0.000 0.177 Hg
0.000 0.000 0.677 Hg
0.333 0.667 0.348 Te
0.667 0.333 0.848 Te
0.000 0.000 0.026 O
0.000 0.000 0.526 O
```

Simulated powder XRD pattern
Compound: TmTlHgO3
Radiation: Cu Kα
Structure: the PBE geometry in OQMD
Peak positions follow from Bragg's law for the DFT cell and can differ from measured ones.

Peak list (10 most intense, 15° ≤ 2θ ≤ 90°, sorted by position)
Position (°2θ)  d [Å]  I (rel.)
20.42  4.349  20
24.26  3.668  71
32.50  2.755  100
33.36  2.686  36
33.75  2.656  58
39.59  2.276  24
41.53  2.174  28
47.27  1.923  25
53.70  1.707  48
58.29  1.583  21

Atomic structure:
```
TmTlHgO3
1.0
1.730 -6.829 0.000
1.730 6.829 0.000
0.000 0.000 8.698
Tm Tl Hg O
2 2 2 6
Direct
0.000 0.000 0.000 Tm
0.000 0.000 0.500 Tm
0.337 0.663 0.750 Tl
0.663 0.337 0.250 Tl
0.338 0.662 0.250 Hg
0.662 0.338 0.750 Hg
0.044 0.956 0.250 O
0.397 0.603 0.023 O
0.397 0.603 0.477 O
0.603 0.397 0.523 O
0.603 0.397 0.977 O
0.956 0.044 0.750 O
```

Simulated powder XRD pattern
Compound: Zr3HgO
Radiation: Cu Kα
Structure: the PBE geometry in OQMD
Peak positions follow from Bragg's law for the DFT cell and can differ from measured ones.

Peak list (10 most intense, 15° ≤ 2θ ≤ 90°, sorted by position)
Position (°2θ)  d [Å]  I (rel.)
24.63  3.614  28
28.87  3.092  48
33.50  2.675  56
35.01  2.563  30
36.38  2.469  100
36.57  2.457  97
39.00  2.310  44
40.16  2.245  67
61.91  1.499  36
66.62  1.404  34

Atomic structure:
```
Zr3HgO
1.0
1.710 -5.803 0.000
1.710 5.803 0.000
0.000 0.000 9.239
Zr Hg O
6 2 2
Direct
0.037 0.963 0.750 Zr
0.375 0.625 0.536 Zr
0.375 0.625 0.964 Zr
0.625 0.375 0.036 Zr
0.625 0.375 0.464 Zr
0.963 0.037 0.250 Zr
0.248 0.752 0.250 Hg
0.752 0.248 0.750 Hg
0.000 0.000 0.000 O
0.000 0.000 0.500 O
```

Simulated powder XRD pattern
Compound: Tb4HgOs
Radiation: Cu Kα
Structure: the PBE geometry in OQMD
Peak positions follow from Bragg's law for the DFT cell and can differ from measured ones.

Peak list (10 most intense, 15° ≤ 2θ ≤ 90°, sorted by position)
Position (°2θ)  d [Å]  I (rel.)
29.34  3.044  38
29.64  3.014  30
32.54  2.751  100
32.70  2.738  66
34.84  2.575  32
35.79  2.509  63
36.72  2.448  40
38.61  2.332  31
38.90  2.315  31
40.52  2.226  28

Atomic structure:
```
Tb4HgOs
1.0
4.287 -6.407 0.000
4.287 6.407 0.000
-1.661 0.000 6.007
Tb Hg Os
8 2 2
Direct
0.064 0.724 0.959 Tb
0.205 0.360 0.594 Tb
0.276 0.936 0.541 Tb
0.360 0.205 0.094 Tb
0.640 0.795 0.906 Tb
0.724 0.064 0.459 Tb
0.795 0.640 0.406 Tb
0.936 0.276 0.041 Tb
0.373 0.627 0.250 Hg
0.627 0.373 0.750 Hg
0.001 0.999 0.750 Os
0.999 0.001 0.250 Os
```

Simulated powder XRD pattern
Compound: TmHgOs
Radiation: Cu Kα
Structure: the PBE geometry in OQMD
Peak positions follow from Bragg's law for the DFT cell and can differ from measured ones.

Peak list (10 most intense, 15° ≤ 2θ ≤ 90°, sorted by position)
Position (°2θ)  d [Å]  I (rel.)
23.53  3.780  28
27.24  3.274  14
38.91  2.315  100
45.97  1.974  15
56.20  1.637  17
61.76  1.502  6
63.55  1.464  5
70.46  1.336  36
83.53  1.157  12
88.31  1.107  5

Atomic structure:
```
TmHgOs
1.0
0.000 3.274 3.274
3.274 0.000 3.274
3.274 3.274 0.000
Tm Hg Os
1 1 1
Direct
0.000 0.000 0.000 Tm
0.500 0.500 0.500 Hg
0.750 0.750 0.750 Os
```